No. 1
Diffraction record for Li2Mn3CuO8. The powder diffraction line list is theoretical, not measured: it uses DFT lattice parameters and positions (GGA+U) and copper Kα.
Neutral-atom scattering factors, no anomalous dispersion.

a = 8.301 Å, b = 8.333 Å, c = 8.384 Å
α = 89.77°, β = 89.92°, γ = 89.90°
Atoms (fractional coordinates):
Li (0.000, 0.000, 0.000)
Li (0.011, 0.492, 0.499)
Li (0.247, 0.252, 0.739)
Li (0.258, 0.750, 0.248)
Li (0.497, 0.989, 0.489)
Li (0.511, 0.503, 0.991)
Li (0.748, 0.741, 0.750)
Li (0.762, 0.239, 0.240)
Mn (0.124, 0.867, 0.625)
Mn (0.128, 0.628, 0.878)
Mn (0.133, 0.378, 0.121)
Mn (0.371, 0.875, 0.873)
Mn (0.376, 0.125, 0.114)
Mn (0.384, 0.375, 0.361)
Mn (0.625, 0.118, 0.864)
Mn (0.631, 0.366, 0.612)
Mn (0.634, 0.617, 0.368)
Mn (0.875, 0.113, 0.619)
Mn (0.884, 0.862, 0.376)
Mn (0.887, 0.624, 0.126)
Cu (0.129, 0.119, 0.367)
Cu (0.378, 0.619, 0.619)
Cu (0.631, 0.870, 0.118)
Cu (0.879, 0.373, 0.868)
O (0.106, 0.099, 0.619)
O (0.114, 0.856, 0.401)
O (0.119, 0.396, 0.888)
O (0.121, 0.612, 0.111)
O (0.132, 0.635, 0.649)
O (0.136, 0.863, 0.860)
O (0.143, 0.150, 0.120)
O (0.157, 0.385, 0.348)
O (0.356, 0.862, 0.639)
O (0.359, 0.648, 0.885)
O (0.364, 0.899, 0.100)
O (0.369, 0.139, 0.345)
O (0.372, 0.361, 0.127)
O (0.388, 0.114, 0.878)
O (0.395, 0.379, 0.593)
O (0.408, 0.603, 0.354)
O (0.602, 0.887, 0.870)
O (0.612, 0.111, 0.095)
O (0.621, 0.379, 0.378)
O (0.626, 0.597, 0.599)
O (0.637, 0.130, 0.628)
O (0.639, 0.353, 0.844)
O (0.649, 0.847, 0.369)
O (0.656, 0.631, 0.136)
O (0.854, 0.112, 0.848)
O (0.862, 0.342, 0.613)
O (0.870, 0.628, 0.362)
O (0.888, 0.878, 0.611)
O (0.889, 0.094, 0.386)
O (0.894, 0.853, 0.151)
O (0.896, 0.629, 0.899)
O (0.903, 0.392, 0.126)

Principal peaks in the range 15 to 90 degrees two-theta, by intensity:
two_theta, I (rel.)
18.43, 100.0
35.81, 23.8
43.16, 18.1
43.44, 17.8
43.62, 17.7
63.04, 15.6
35.55, 12.2
35.66, 12.0



No. 2
Diffraction record for KMo2C4O11. The powder diffraction line list is theoretical, not measured: it uses DFT lattice parameters and positions (GGA+U) and copper Kα.
Neutral-atom scattering factors, no anomalous dispersion.

a = 7.722 Å, b = 8.531 Å, c = 8.944 Å
α = 93.91°, β = 91.99°, γ = 95.95°
Atoms (fractional coordinates):
K (0.199, 0.427, 0.172)
K (0.801, 0.573, 0.828)
Mo (0.297, 0.750, 0.822)
Mo (0.479, 0.140, 0.880)
Mo (0.521, 0.860, 0.120)
Mo (0.703, 0.250, 0.178)
C (0.017, 0.994, 0.748)
C (0.035, 0.782, 0.320)
C (0.092, 0.156, 0.785)
C (0.122, 0.956, 0.353)
C (0.878, 0.044, 0.647)
C (0.908, 0.844, 0.215)
C (0.965, 0.218, 0.680)
C (0.983, 0.006, 0.252)
O (0.046, 0.858, 0.782)
O (0.062, 0.656, 0.365)
O (0.158, 0.636, 0.934)
O (0.214, 0.223, 0.870)
O (0.245, 0.020, 0.428)
O (0.302, 0.639, 0.654)
O (0.335, 0.948, 0.045)
O (0.371, 0.342, 0.453)
O (0.378, 0.971, 0.755)
O (0.433, 0.724, 0.237)
O (0.482, 0.268, 0.081)
O (0.518, 0.732, 0.919)
O (0.567, 0.276, 0.763)
O (0.622, 0.029, 0.245)
O (0.629, 0.658, 0.547)
O (0.665, 0.052, 0.955)
O (0.698, 0.361, 0.346)
O (0.755, 0.980, 0.572)
O (0.786, 0.777, 0.130)
O (0.842, 0.364, 0.066)
O (0.938, 0.344, 0.635)
O (0.954, 0.142, 0.218)

Principal peaks in the range 15 to 90 degrees two-theta, by intensity:
two_theta, I (rel.)
26.31, 100.0
22.62, 66.7
17.95, 48.0
30.11, 45.6
24.64, 35.6
31.85, 34.1
40.49, 32.1
27.77, 29.3



No. 3
Diffraction record for MgScNi2SbO6. The powder diffraction line list is theoretical, not measured: it uses DFT lattice parameters and positions (GGA+U) and copper Kα.
Neutral-atom scattering factors, no anomalous dispersion.

a = 5.333 Å, b = 5.722 Å, c = 5.748 Å
α = 88.56°, β = 62.60°, γ = 65.75°
Atoms (fractional coordinates):
Mg (0.000, 0.000, 0.000)
Sc (0.311, 0.128, 0.388)
Ni (0.701, 0.528, 0.313)
Ni (0.817, 0.810, 0.708)
Sb (0.413, 0.433, 0.882)
O (0.156, 0.216, 0.102)
O (0.205, 0.858, 0.600)
O (0.587, 0.324, 0.130)
O (0.599, 0.136, 0.579)
O (0.722, 0.812, 0.098)
O (0.847, 0.476, 0.607)

Principal peaks in the range 15 to 90 degrees two-theta, by intensity:
two_theta, I (rel.)
31.44, 100.0
31.33, 90.2
33.02, 83.9
22.10, 73.8
33.68, 69.1
34.86, 60.0
36.11, 42.9
17.36, 42.1



No. 4
Diffraction record for Cs2TeMo3O12. The powder diffraction line list is theoretical, not measured: it uses DFT lattice parameters and positions (GGA+U) and copper Kα.
Neutral-atom scattering factors, no anomalous dispersion.

a = 7.510 Å, b = 7.510 Å, c = 12.641 Å
α = 90.00°, β = 90.00°, γ = 120.00°
Atoms (fractional coordinates):
Cs (0.333, 0.667, 0.000)
Cs (0.333, 0.667, 0.368)
Cs (0.667, 0.333, 0.500)
Cs (0.667, 0.333, 0.868)
Te (0.000, 0.000, 0.433)
Te (0.000, 0.000, 0.933)
Mo (0.140, 0.338, 0.666)
Mo (0.198, 0.860, 0.666)
Mo (0.338, 0.198, 0.166)
Mo (0.662, 0.802, 0.666)
Mo (0.802, 0.140, 0.166)
Mo (0.860, 0.662, 0.166)
O (0.089, 0.545, 0.629)
O (0.117, 0.857, 0.503)
O (0.124, 0.874, 0.177)
O (0.126, 0.249, 0.177)
O (0.143, 0.260, 0.503)
O (0.186, 0.799, 0.802)
O (0.201, 0.387, 0.802)
O (0.249, 0.124, 0.677)
O (0.260, 0.117, 0.003)
O (0.387, 0.186, 0.302)
O (0.455, 0.544, 0.629)
O (0.456, 0.911, 0.629)
O (0.544, 0.089, 0.129)
O (0.545, 0.456, 0.129)
O (0.613, 0.814, 0.802)
O (0.740, 0.883, 0.503)
O (0.751, 0.876, 0.177)
O (0.799, 0.613, 0.302)
O (0.814, 0.201, 0.302)
O (0.857, 0.740, 0.003)
O (0.874, 0.751, 0.677)
O (0.876, 0.126, 0.677)
O (0.883, 0.143, 0.003)
O (0.911, 0.455, 0.129)

Principal peaks in the range 15 to 90 degrees two-theta, by intensity:
two_theta, I (rel.)
27.63, 100.0
28.34, 67.0
25.18, 58.9
48.49, 32.3
23.70, 26.9
44.17, 26.3
45.44, 23.2
55.41, 19.1



No. 5
Diffraction record for MnCoP2O8. The powder diffraction line list is theoretical, not measured: it uses DFT lattice parameters and positions (GGA+U) and copper Kα.
Neutral-atom scattering factors, no anomalous dispersion.

a = 8.454 Å, b = 8.454 Å, c = 8.454 Å
α = 61.16°, β = 61.16°, γ = 61.16°
Atoms (fractional coordinates):
Mn (0.000, 0.000, 0.000)
Mn (0.216, 0.216, 0.216)
Mn (0.501, 0.501, 0.501)
Co (0.359, 0.359, 0.359)
Co (0.715, 0.715, 0.715)
Co (0.856, 0.856, 0.856)
P (0.109, 0.818, 0.400)
P (0.313, 0.608, 0.901)
P (0.400, 0.109, 0.818)
P (0.608, 0.901, 0.313)
P (0.818, 0.400, 0.109)
P (0.901, 0.313, 0.608)
O (0.045, 0.851, 0.243)
O (0.102, 0.298, 0.444)
O (0.111, 0.767, 0.920)
O (0.176, 0.978, 0.361)
O (0.243, 0.045, 0.851)
O (0.272, 0.619, 0.413)
O (0.298, 0.444, 0.102)
O (0.347, 0.547, 0.742)
O (0.361, 0.176, 0.978)
O (0.413, 0.272, 0.619)
O (0.444, 0.102, 0.298)
O (0.470, 0.672, 0.871)
O (0.547, 0.742, 0.347)
O (0.600, 0.952, 0.801)
O (0.619, 0.413, 0.272)
O (0.672, 0.871, 0.470)
O (0.742, 0.347, 0.547)
O (0.767, 0.920, 0.111)
O (0.801, 0.600, 0.952)
O (0.851, 0.243, 0.045)
O (0.871, 0.470, 0.672)
O (0.920, 0.111, 0.767)
O (0.952, 0.801, 0.600)
O (0.978, 0.361, 0.176)

Principal peaks in the range 15 to 90 degrees two-theta, by intensity:
two_theta, I (rel.)
24.45, 100.0
20.65, 93.6
33.47, 69.7
36.18, 41.1
47.98, 34.9
50.11, 26.4
56.63, 25.7
63.35, 20.5



No. 6
Diffraction record for Ba3Mo2I2O18. The powder diffraction line list is theoretical, not measured: it uses DFT lattice parameters and positions (GGA+U) and copper Kα.
Neutral-atom scattering factors, no anomalous dispersion.

a = 22.905 Å, b = 7.387 Å, c = 23.800 Å
α = 74.09°, β = 18.07°, γ = 87.84°
Atoms (fractional coordinates):
Ba (0.000, 0.000, 0.000)
Ba (0.219, 0.813, 0.474)
Ba (0.250, 0.250, 0.250)
Ba (0.756, 0.776, 0.437)
Ba (0.776, 0.756, 0.031)
Ba (0.813, 0.219, 0.494)
Mo (0.058, 0.744, 0.347)
Mo (0.399, 0.903, 0.506)
Mo (0.744, 0.058, 0.851)
Mo (0.903, 0.399, 0.192)
I (0.339, 0.958, 0.822)
I (0.370, 0.428, 0.292)
I (0.428, 0.370, 0.911)
I (0.958, 0.339, 0.880)
O (0.057, 0.381, 0.588)
O (0.060, 0.509, 0.344)
O (0.097, 0.101, 0.524)
O (0.101, 0.097, 0.279)
O (0.163, 0.494, 0.753)
O (0.164, 0.906, 0.741)
O (0.166, 0.721, 0.648)
O (0.194, 0.847, 0.281)
O (0.221, 0.367, 0.610)
O (0.224, 0.790, 0.011)
O (0.239, 0.275, 0.026)
O (0.275, 0.239, 0.460)
O (0.275, 0.662, 0.869)
O (0.367, 0.221, 0.802)
O (0.381, 0.057, 0.975)
O (0.448, 0.640, 0.883)
O (0.476, 0.518, 0.564)
O (0.494, 0.163, 0.589)
O (0.497, 0.661, 0.087)
O (0.509, 0.060, 0.086)
O (0.518, 0.476, 0.442)
O (0.572, 0.969, 0.403)
O (0.602, 0.785, 0.084)
O (0.640, 0.448, 0.029)
O (0.661, 0.497, 0.756)
O (0.662, 0.275, 0.193)
O (0.686, 0.808, 0.774)
O (0.721, 0.166, 0.465)
O (0.726, 0.971, 0.153)
O (0.785, 0.602, 0.529)
O (0.790, 0.224, 0.975)
O (0.808, 0.686, 0.732)
O (0.847, 0.194, 0.678)
O (0.906, 0.164, 0.190)
O (0.969, 0.572, 0.056)
O (0.971, 0.726, 0.149)

Principal peaks in the range 15 to 90 degrees two-theta, by intensity:
two_theta, I (rel.)
26.81, 100.0
25.72, 76.3
23.39, 63.0
27.92, 38.3
23.19, 36.9
35.08, 31.0
49.77, 29.5
26.18, 29.1



No. 7
Diffraction record for Li4V3Cr3Fe2O16. The powder diffraction line list is theoretical, not measured: it uses DFT lattice parameters and positions (GGA+U) and copper Kα.
Neutral-atom scattering factors, no anomalous dispersion.

a = 5.879 Å, b = 5.913 Å, c = 9.591 Å
α = 89.43°, β = 89.81°, γ = 60.38°
Atoms (fractional coordinates):
Li (0.000, 0.000, 0.000)
Li (0.002, 0.996, 0.499)
Li (0.340, 0.336, 0.395)
Li (0.674, 0.665, 0.894)
V (0.179, 0.656, 0.718)
V (0.662, 0.161, 0.717)
V (0.828, 0.827, 0.218)
Cr (0.170, 0.168, 0.716)
Cr (0.340, 0.830, 0.217)
Cr (0.833, 0.337, 0.217)
Fe (0.322, 0.333, 0.995)
Fe (0.662, 0.660, 0.494)
O (0.001, 0.992, 0.814)
O (0.042, 0.478, 0.841)
O (0.151, 0.673, 0.108)
O (0.163, 0.160, 0.100)
O (0.327, 0.834, 0.602)
O (0.335, 0.337, 0.606)
O (0.474, 0.491, 0.838)
O (0.496, 0.039, 0.839)
O (0.524, 0.520, 0.343)
O (0.536, 0.962, 0.338)
O (0.674, 0.149, 0.108)
O (0.678, 0.676, 0.107)
O (0.826, 0.319, 0.606)
O (0.845, 0.825, 0.609)
O (0.965, 0.532, 0.338)
O (0.996, 0.992, 0.312)

Principal peaks in the range 15 to 90 degrees two-theta, by intensity:
two_theta, I (rel.)
19.68, 100.0
18.50, 81.2
39.96, 38.3
45.49, 27.8
35.86, 27.1
35.74, 27.0
45.37, 26.9
35.50, 26.8



No. 8
Diffraction record for Fe4O3F5. The powder diffraction line list is theoretical, not measured: it uses DFT lattice parameters and positions (GGA+U) and copper Kα.
Neutral-atom scattering factors, no anomalous dispersion.

a = 4.815 Å, b = 6.169 Å, c = 10.093 Å
α = 72.22°, β = 88.90°, γ = 89.81°
Atoms (fractional coordinates):
Fe (0.000, 0.000, 0.000)
Fe (0.000, 0.500, 0.000)
Fe (0.001, 0.266, 0.500)
Fe (0.427, 0.626, 0.245)
Fe (0.466, 0.113, 0.271)
Fe (0.534, 0.887, 0.729)
Fe (0.573, 0.374, 0.755)
Fe (0.999, 0.734, 0.500)
O (0.178, 0.691, 0.092)
O (0.286, 0.824, 0.350)
O (0.294, 0.324, 0.352)
O (0.706, 0.676, 0.648)
O (0.714, 0.176, 0.650)
O (0.822, 0.309, 0.908)
F (0.202, 0.950, 0.601)
F (0.214, 0.446, 0.610)
F (0.215, 0.214, 0.101)
F (0.314, 0.584, 0.843)
F (0.330, 0.077, 0.840)
F (0.670, 0.923, 0.160)
F (0.686, 0.416, 0.157)
F (0.785, 0.786, 0.899)
F (0.786, 0.554, 0.390)
F (0.798, 0.050, 0.399)

Principal peaks in the range 15 to 90 degrees two-theta, by intensity:
two_theta, I (rel.)
26.46, 100.0
25.95, 98.7
34.53, 80.3
65.69, 29.5
51.59, 29.4
52.17, 27.6
51.48, 27.5
52.05, 27.1



What is the formula in the fifth record? MnCoP2O8



What is the formula in the fifth record? MnCoP2O8